1.
Starting from DFT lattice parameters and positions (PBE), the X-ray diffraction stick pattern of CeSc4Se5 was calculated for Cu Kα, 1.54184 Å.
Peak positions follow from Bragg's law for the DFT cell and can differ from measured ones.

Crystal structure
Cell lengths 3.9068, 5.6149, 19.8110 Å; angles 90.00, 90.00, 90.00 degrees
Space group Immm (No. 71)
Asymmetric unit:
Ce1 0.0000 0.0000 0.0000
Sc1 0.0000 0.0000 0.2037
Sc2 0.0000 0.0000 0.4025
Se1 0.0000 0.5000 0.0000
Se2 0.0000 0.5000 0.1978
Se3 0.0000 0.5000 0.3900

Largest 6 diffraction maxima, by angle, 5 to 70 degrees two-theta:
31.9 deg, d 2.807, I = 53
32.2 deg, d 2.782, I = 100
45.9 deg, d 1.976, I = 72
46.5 deg, d 1.953, I = 18
56.9 deg, d 1.619, I = 17
57.5 deg, d 1.603, I = 18



2.
Starting from DFT lattice parameters and positions (PBE), the X-ray diffraction stick pattern of Hf2Zn3Ir was calculated for Cu Kα, 1.54184 Å.
Peak positions follow from Bragg's law for the DFT cell and can differ from measured ones.

Crystal structure
Cell lengths 8.7422, 12.1061, 15.1765 Å; angles 90.00, 90.00, 90.00 degrees
Space group Fddd (No. 70, origin choice 2)
Asymmetric unit:
Hf1 0.1250 0.0031 0.1250
Hf2 0.1250 0.2581 0.6250
Zn1 0.1194 0.3659 0.9569
Zn2 0.1250 0.1250 0.4619
Ir1 0.1250 0.1250 0.2924

Largest 6 diffraction maxima, by angle, 5 to 70 degrees two-theta:
23.5 deg, d 3.790, I = 13
38.0 deg, d 2.365, I = 100
41.3 deg, d 2.188, I = 76
57.3 deg, d 1.607, I = 11
57.4 deg, d 1.605, I = 20
61.3 deg, d 1.513, I = 7